Starting from DFT lattice parameters and positions (GGA+U), the powder X-ray diffraction pattern of Li8Mn5Fe3B8O24 was computed for CuKα.

Structural model:
Unit cell a=5.2456 b=6.0495 c=16.1872 alpha=82.09 beta=89.01 gamma=89.01
Space group P1 (No. 1)
Inequivalent atoms, fractional coordinates:
Li 0.0000 0.0000 0.0000 (multiplicity 1)
Li 0.0001 0.4990 0.4995 (multiplicity 1)
Li 0.3007 0.3751 0.7182 (multiplicity 1)
Li 0.3014 0.8752 0.2171 (multiplicity 1)
Li 0.5002 0.7519 0.7497 (multiplicity 1)
Li 0.5007 0.2505 0.2481 (multiplicity 1)
Li 0.8014 0.6232 0.9681 (multiplicity 1)
Li 0.8031 0.1239 0.4688 (multiplicity 1)
Mn 0.3167 0.9626 0.3978 (multiplicity 1)
Mn 0.3183 0.4610 0.8997 (multiplicity 1)
Mn 0.4851 0.6644 0.5692 (multiplicity 1)
Mn 0.8174 0.7087 0.1497 (multiplicity 1)
Mn 0.9830 0.9144 0.8179 (multiplicity 1)
Fe 0.4916 0.1614 0.0680 (multiplicity 1)
Fe 0.8110 0.2128 0.6493 (multiplicity 1)
Fe 0.9820 0.4122 0.3208 (multiplicity 1)
B 0.3210 0.1510 0.5618 (multiplicity 1)
B 0.3216 0.6504 0.0613 (multiplicity 1)
B 0.4782 0.4734 0.4052 (multiplicity 1)
B 0.4812 0.9729 0.9078 (multiplicity 1)
B 0.8200 0.4023 0.8096 (multiplicity 1)
B 0.8213 0.9024 0.3109 (multiplicity 1)
B 0.9801 0.7245 0.6560 (multiplicity 1)
B 0.9819 0.2248 0.1564 (multiplicity 1)
O 0.0624 0.1744 0.5503 (multiplicity 1)
O 0.0624 0.6732 0.0475 (multiplicity 1)
O 0.2391 0.7023 0.6703 (multiplicity 1)
O 0.2412 0.2003 0.1672 (multiplicity 1)
O 0.3324 0.1064 0.9552 (multiplicity 1)
O 0.3324 0.6059 0.4533 (multiplicity 1)
O 0.3571 0.3579 0.3485 (multiplicity 1)
O 0.3631 0.8573 0.8509 (multiplicity 1)
O 0.4381 0.7691 0.1175 (multiplicity 1)
O 0.4441 0.2655 0.6187 (multiplicity 1)
O 0.4692 0.0187 0.5140 (multiplicity 1)
O 0.4714 0.5146 0.0154 (multiplicity 1)
O 0.5607 0.4236 0.7972 (multiplicity 1)
O 0.5620 0.9239 0.2969 (multiplicity 1)
O 0.7385 0.4510 0.4169 (multiplicity 1)
O 0.7408 0.9520 0.9202 (multiplicity 1)
O 0.8295 0.8602 0.7017 (multiplicity 1)
O 0.8367 0.3565 0.2050 (multiplicity 1)
O 0.8576 0.1119 0.0994 (multiplicity 1)
O 0.8653 0.6056 0.5995 (multiplicity 1)
O 0.9364 0.0206 0.3678 (multiplicity 1)
O 0.9384 0.5181 0.8664 (multiplicity 1)
O 0.9684 0.2687 0.7622 (multiplicity 1)
O 0.9714 0.7666 0.2654 (multiplicity 1)

Principal peaks in the range 5° ≤ 2θ ≤ 70°, by angle:
20.38°, I 80.8, (1 0 -2); 22.18°, I 33.9, (0 0 4); 22.48°, I 60.9, (1 1 1); 33.34°, I 100.0, (0 2 -2); 34.08°, I 33.6, (1 1 5); 40.84°, I 34.3, (2 0 4)